(1)
Starting from a PBE-relaxed structure, the X-ray diffraction stick pattern of Ac7In2N was calculated for Cu Kα, 1.54184 Å.

Main lines, by angle (2θ from 15° to 90°):
(hkl), 2θ/deg, I_rel
2 0 0, 15.4, 35
2 2 2, 26.9, 100
4 0 0, 31.2, 95
3 3 1, 34.1, 27
4 4 0, 44.7, 66
6 2 2, 53.0, 38
4 4 4, 55.5, 21
8 4 0, 73.9, 24

a b c (Å): 11.471 11.471 11.471
angles (deg): 90.00 90.00 90.00
Space group Fm-3m (No. 225)
Inequivalent atoms, fractional coordinates:
Ac 0.000 0.000 0.000 (multiplicity 4)
Ac 0.000 0.000 0.273 (multiplicity 24)
In 0.250 0.250 0.250 (multiplicity 8)
N 0.000 0.000 0.500 (multiplicity 4)


(2)
Starting from a PBE-relaxed structure, the X-ray diffraction stick pattern of AcSmInN3 was calculated for Cu Kα, 1.54184 Å.

Main lines, by angle (2θ from 15° to 90°):
(hkl), 2θ/deg, I_rel
2 0 0, 29.4, 30
2 0 -1, 29.6, 32
0 0 3, 29.7, 51
1 0 -3, 31.2, 23
1 1 1, 31.3, 100
1 1 -2, 33.9, 97
3 1 1, 54.3, 24
0 2 3, 59.9, 22

a b c (Å): 6.143 3.594 9.119
angles (deg): 90.00 98.67 90.00
Space group P2_1/m (No. 11)
Inequivalent atoms, fractional coordinates:
Ac 0.168 0.250 0.191 (multiplicity 2)
Sm 0.259 0.750 0.549 (multiplicity 2)
In 0.345 0.250 0.852 (multiplicity 2)
N 0.042 0.250 0.657 (multiplicity 2)
N 0.256 0.750 0.977 (multiplicity 2)
N 0.462 0.750 0.337 (multiplicity 2)


(3)
Starting from a PBE-relaxed structure, the X-ray diffraction stick pattern of NaAc6In5 was calculated for Cu Kα, 1.54184 Å.

Main lines, by angle (2θ from 15° to 90°):
(hkl), 2θ/deg, I_rel
1 0 3, 21.5, 16
2 0 0, 30.6, 50
1 2 3, 30.7, 100
2 0 6, 43.8, 19
1 2 9, 54.4, 19
3 2 3, 54.5, 30
4 0 0, 63.9, 15
4 0 6, 72.4, 12

a b c (Å): 5.835 8.224 17.555
angles (deg): 90.00 90.00 90.00
Space group Immm (No. 71)
Inequivalent atoms, fractional coordinates:
Na 0.000 0.000 0.000 (multiplicity 2)
Ac 0.000 0.239 0.500 (multiplicity 4)
Ac 0.000 0.254 0.171 (multiplicity 8)
In 0.000 0.000 0.333 (multiplicity 4)
In 0.000 0.500 0.000 (multiplicity 2)
In 0.000 0.500 0.343 (multiplicity 4)


(4)
Starting from a PBE-relaxed structure, the X-ray diffraction stick pattern of NaAc4In3 was calculated for Cu Kα, 1.54184 Å.

Main lines, by angle (2θ from 15° to 90°):
(hkl), 2θ/deg, I_rel
1 1 0, 21.7, 18
1 1 4, 30.4, 100
2 0 0, 30.9, 49
2 2 0, 44.3, 18
2 0 8, 53.7, 20
3 1 4, 54.7, 39
2 2 8, 63.3, 12
5 1 4, 89.5, 10

a b c (Å): 5.784 5.784 16.897
angles (deg): 90.00 90.00 90.00
Space group I4/mmm (No. 139)
Inequivalent atoms, fractional coordinates:
Na 0.000 0.000 0.000 (multiplicity 2)
Ac 0.000 0.500 0.130 (multiplicity 8)
In 0.000 0.000 0.247 (multiplicity 4)
In 0.000 0.000 0.500 (multiplicity 2)


(5)
Starting from a PBE-relaxed structure, the X-ray diffraction stick pattern of Na3AcIn3 was calculated for Cu Kα, 1.54184 Å.

Main lines, by angle (2θ from 15° to 90°):
(hkl), 2θ/deg, I_rel
2 0 0, 22.1, 41
2 1 0, 24.8, 33
2 1 1, 27.2, 100
3 2 1, 42.1, 62
4 0 0, 45.1, 20
4 2 0, 50.8, 18
5 2 1, 63.4, 18
6 1 1, 72.5, 19

a b c (Å): 8.038 8.038 8.038
angles (deg): 90.00 90.00 90.00
Space group Pm-3n (No. 223)
Inequivalent atoms, fractional coordinates:
Na 0.000 0.250 0.500 (multiplicity 6)
Ac 0.000 0.000 0.000 (multiplicity 2)
In 0.000 0.500 0.250 (multiplicity 6)


(6)
Starting from a PBE-relaxed structure, the X-ray diffraction stick pattern of AcNbIn2O8 was calculated for Cu Kα, 1.54184 Å.

Main lines, by angle (2θ from 15° to 90°):
(hkl), 2θ/deg, I_rel
1 1 1, 21.8, 16
0 2 0, 25.1, 57
2 0 0, 25.4, 53
1 1 2, 30.9, 100
2 2 0, 36.1, 33
1 3 2, 48.0, 39
3 1 2, 48.4, 37
3 3 2, 61.7, 22

a b c (Å): 7.000 7.084 7.109
angles (deg): 90.00 90.00 90.00
Space group Cmmm (No. 65)
Inequivalent atoms, fractional coordinates:
Ac 0.000 0.000 0.000 (multiplicity 2)
Nb 0.000 0.000 0.500 (multiplicity 2)
In 0.000 0.500 0.268 (multiplicity 4)
O 0.000 0.290 0.500 (multiplicity 4)
O 0.000 0.333 0.000 (multiplicity 4)
O 0.194 0.000 0.294 (multiplicity 8)


(7)
Starting from a PBE-relaxed structure, the X-ray diffraction stick pattern of Ac5Nd4In4 was calculated for Cu Kα, 1.54184 Å.

Main lines, by angle (2θ from 15° to 90°):
(hkl), 2θ/deg, I_rel
3 0 1, 26.2, 31
3 2 1, 29.4, 100
4 2 0, 29.5, 21
1 4 1, 32.3, 21
1 5 0, 33.7, 24
0 0 2, 34.7, 26
1 5 2, 49.2, 17
3 2 3, 58.9, 14

a b c (Å): 13.547 13.547 5.172
angles (deg): 90.00 90.00 90.00
Space group I4/m (No. 87)
Inequivalent atoms, fractional coordinates:
Ac 0.000 0.000 0.000 (multiplicity 2)
Ac 0.120 0.800 0.500 (multiplicity 8)
Nd 0.090 0.401 0.500 (multiplicity 8)
In 0.076 0.244 0.000 (multiplicity 8)


(8)
Starting from a PBE-relaxed structure, the X-ray diffraction stick pattern of Ac2Nd3In was calculated for Cu Kα, 1.54184 Å.

Main lines, by angle (2θ from 15° to 90°):
(hkl), 2θ/deg, I_rel
1 3 1, 29.7, 100
0 6 0, 33.4, 18
2 0 0, 34.7, 17
0 0 2, 35.2, 16
1 9 1, 57.5, 14
3 3 1, 59.1, 14
1 3 3, 59.7, 14
2 6 2, 61.7, 12

a b c (Å): 5.173 16.076 5.106
angles (deg): 90.00 90.00 90.00
Space group Cmmm (No. 65)
Inequivalent atoms, fractional coordinates:
Ac 0.000 0.163 0.000 (multiplicity 4)
Nd 0.000 0.000 0.500 (multiplicity 2)
Nd 0.000 0.343 0.500 (multiplicity 4)
In 0.000 0.500 0.000 (multiplicity 2)